1.
Structure and simulated powder diffraction line list of AlInPb2O5 (a crystal structure in Alexandria, relaxed with PBE; copper Kα).

The 12 most intense peaks (15° ≤ 2θ ≤ 90°), in order of falling intensity:
| 2θ (°) | d/Å | I (rel.) | (hkl) |
| --- | --- | --- | --- |
| 25.71 | 3.465 | 100 | 0 2 3 |
| 36.00 | 2.495 | 58 | 1 1 3 |
| 32.85 | 2.726 | 33 | 1 3 0 |
| 27.70 | 3.220 | 26 | 1 1 0 |
| 24.58 | 3.622 | 26 | 0 4 0 |
| 47.69 | 1.907 | 24 | 1 5 3 |
| 52.81 | 1.734 | 20 | 0 4 6 |
| 62.28 | 1.491 | 18 | 2 2 3 |
| 33.74 | 2.657 | 17 | 1 3 1 |
| 38.03 | 2.366 | 17 | 0 6 1 |
| 54.56 | 1.682 | 16 | 1 1 6 |
| 52.14 | 1.754 | 14 | 1 5 4 |

Atomic structure:
```
data_AlInPb2O5
_symmetry_space_group_name_H-M 'C m c 21'
_symmetry_Int_Tables_number 36
_cell_length_a 3.3025
_cell_length_b 14.4892
_cell_length_c 11.8396
_cell_angle_alpha 90.00
_cell_angle_beta 90.00
_cell_angle_gamma 90.00
loop_
_symmetry_equiv_pos_as_xyz
'x,y,z'
'-x,-y,z+1/2'
'-x,y,z'
'x,-y,z+1/2'
'x+1/2,y+1/2,z'
'-x+1/2,-y+1/2,z+1/2'
'-x+1/2,y+1/2,z'
'x+1/2,-y+1/2,z+1/2'
loop_
_atom_site_label
_atom_site_fract_x
_atom_site_fract_y
_atom_site_fract_z
Al1 0.0000 0.0366 0.0000
In1 0.0000 0.3048 0.5978
Pb1 0.0000 0.3563 0.8841
Pb2 0.0000 0.3849 0.2138
O1 0.0000 0.0271 0.3734
O2 0.0000 0.1542 0.5844
O3 0.0000 0.1604 0.9841
O4 0.0000 0.2084 0.2207
O5 0.0000 0.4750 0.5705
```

***

2.
Structure and simulated powder diffraction line list of K2Tm2UTe6 (a crystal structure in Alexandria, relaxed with PBE; copper Kα).

The 12 most intense peaks (15° ≤ 2θ ≤ 90°), in order of falling intensity:
| 2θ (°) | d/Å | I (rel.) | (hkl) |
| --- | --- | --- | --- |
| 27.33 | 3.264 | 100 | 1 3 1 |
| 41.05 | 2.199 | 36 | 0 6 0 |
| 36.92 | 2.435 | 35 | 2 0 2 |
| 34.18 | 2.623 | 27 | 2 0 -3 |
| 50.02 | 1.824 | 19 | 4 0 0 |
| 46.06 | 1.971 | 17 | 1 3 -4 |
| 42.48 | 2.128 | 16 | 3 3 -2 |
| 66.63 | 1.404 | 16 | 4 6 0 |
| 23.62 | 3.766 | 13 | 1 3 0 |
| 60.83 | 1.523 | 11 | 3 3 3 |
| 56.38 | 1.632 | 10 | 2 6 2 |
| 70.31 | 1.339 | 10 | 0 6 5 |

Atomic structure:
```
data_K2Tm2UTe6
_symmetry_space_group_name_H-M 'C 1 2/m 1'
_symmetry_Int_Tables_number 12
_cell_length_a 7.6167
_cell_length_b 13.1935
_cell_length_c 8.8180
_cell_angle_alpha 90.00
_cell_angle_beta 106.76
_cell_angle_gamma 90.00
loop_
_symmetry_equiv_pos_as_xyz
'x,y,z'
'-x,-y,-z'
'-x,y,-z'
'x,-y,z'
'x+1/2,y+1/2,z'
'-x+1/2,-y+1/2,-z'
'-x+1/2,y+1/2,-z'
'x+1/2,-y+1/2,z'
loop_
_atom_site_label
_atom_site_fract_x
_atom_site_fract_y
_atom_site_fract_z
K1 0.0000 0.1664 0.0000
Tm1 0.0000 0.3322 0.5000
U1 0.0000 0.0000 0.5000
Te1 0.2326 0.5000 0.7034
Te2 0.2368 0.1662 0.7053
```

***

3.
Structure and simulated powder diffraction line list of SrYI2 (a crystal structure in Alexandria, relaxed with PBE; copper Kα).

The 12 most intense peaks (15° ≤ 2θ ≤ 90°), in order of falling intensity:
| 2θ (°) | d/Å | I (rel.) | (hkl) |
| --- | --- | --- | --- |
| 36.81 | 2.442 | 100 | 1 0 10 |
| 25.69 | 3.467 | 87 | 0 1 2 |
| 33.04 | 2.712 | 80 | 0 1 8 |
| 28.46 | 3.136 | 72 | 0 1 5 |
| 44.28 | 2.046 | 63 | 1 1 0 |
| 25.27 | 3.524 | 60 | 1 0 1 |
| 23.76 | 3.744 | 34 | 0 0 9 |
| 67.86 | 1.381 | 27 | 1 1 18 |
| 50.86 | 1.795 | 25 | 1 1 9 |
| 58.89 | 1.568 | 25 | 0 2 10 |
| 76.55 | 1.245 | 23 | 2 1 10 |
| 60.88 | 1.522 | 18 | 0 1 20 |

Atomic structure:
```
data_SrYI2
_symmetry_space_group_name_H-M 'R -3 m'
_symmetry_Int_Tables_number 166
_symmetry_space_group_name_Hall '-R 3 2"'
_cell_length_a 4.0914
_cell_length_b 4.0914
_cell_length_c 33.6994
_cell_angle_alpha 90.00
_cell_angle_beta 90.00
_cell_angle_gamma 120.00
loop_
_atom_site_label
_atom_site_fract_x
_atom_site_fract_y
_atom_site_fract_z
Sr1 0.0000 0.0000 0.0000
Y1 0.0000 0.0000 0.5000
I1 0.0000 0.0000 0.1055
```